Record 1
Starting from the GGA-PBE geometry in Alexandria, the powder XRD pattern of Ag3Cl5F was calculated for Cu Kα (weighted mean of Kα1 and Kα2).
Lines closer than 0.1° are merged.

Structural model:
Lattice parameters (Å, degrees): 7.737 7.744 9.910 110.42 105.64 101.96
Space group P-1 (No. 2)
One atom of each set of equivalent atoms:
Ag  0.000  0.000  0.000 (multiplicity 1)
Ag  0.000  0.500  0.500 (multiplicity 1)
Ag  0.334  0.492  0.826 (multiplicity 2)
Ag  0.335  0.997  0.332 (multiplicity 2)
Cl  0.006  0.178  0.840 (multiplicity 2)
Cl  0.220  0.320  0.540 (multiplicity 2)
Cl  0.326  0.826  0.500 (multiplicity 2)
Cl  0.339  0.166  0.160 (multiplicity 2)
Cl  0.437  0.673  0.110 (multiplicity 2)
F  0.125  0.623  0.748 (multiplicity 2)

Most intense lines, 10 to 90 degrees two-theta, by angle:
Position (°2θ)	Rel. int.	hkl
18.2	86	1 1 -1
18.5	100	-1 1 1
26.1	28	0 2 0
28.0	50	0 1 -3
38.4	29	3 0 0
38.5	29	1 2 -4
38.7	25	3 -2 0
38.9	24	1 0 -4
47.1	27	1 -4 2
47.3	27	1 2 2

Record 2
Starting from the GGA-PBE geometry in Alexandria, the powder XRD pattern of Ag6Cl7F was calculated for Cu Kα (weighted mean of Kα1 and Kα2).
Lines closer than 0.1° are merged.

Structural model:
Lattice parameters (Å, degrees): 6.998 13.889 13.248 90.00 90.00 90.00
Space group Ibam (No. 72)
One atom of each set of equivalent atoms:
Ag  0.117  0.129  0.000 (multiplicity 8)
Ag  0.217  0.379  0.185 (multiplicity 16)
Cl  0.000  0.000  0.250 (multiplicity 4)
Cl  0.170  0.304  0.360 (multiplicity 16)
Cl  0.230  0.073  0.500 (multiplicity 8)
F  0.000  0.500  0.250 (multiplicity 4)

Most intense lines, 10 to 90 degrees two-theta, by angle:
Position (°2θ)	Rel. int.	hkl
19.5	27	1 1 2
25.5	33	2 0 0
25.7	50	0 4 0
27.1	100	1 2 3
36.5	22	2 4 0
38.6	19	1 2 5
39.0	20	2 4 2
41.4	22	3 2 1
46.1	50	1 6 3
54.0	22	3 2 5

Record 3
Starting from the GGA-PBE geometry in Alexandria, the powder XRD pattern of Ag6Cl8F was calculated for Cu Kα (weighted mean of Kα1 and Kα2).
Lines closer than 0.1° are merged.

Structural model:
Lattice parameters (Å, degrees): 8.385 8.295 11.584 90.00 90.00 90.00
Space group Pmn2_1 (No. 31)
One atom of each set of equivalent atoms:
Ag  0.000  0.041  0.000 (multiplicity 2)
Ag  0.000  0.103  0.356 (multiplicity 2)
Ag  0.000  0.558  0.129 (multiplicity 2)
Ag  0.000  0.562  0.496 (multiplicity 2)
Ag  0.202  0.148  0.716 (multiplicity 4)
Cl  0.000  0.026  0.571 (multiplicity 2)
Cl  0.000  0.253  0.162 (multiplicity 2)
Cl  0.202  0.905  0.850 (multiplicity 4)
Cl  0.203  0.419  0.608 (multiplicity 4)
Cl  0.217  0.685  0.390 (multiplicity 4)
F  0.000  0.832  0.145 (multiplicity 2)

Most intense lines, 10 to 90 degrees two-theta, by angle:
Position (°2θ)	Rel. int.	hkl
13.1	100	0 1 1
18.7	59	0 1 2
23.9	67	1 2 0
25.0	47	2 1 1
25.4	47	0 1 3
26.2	59	2 0 2
27.6	97	1 1 3
31.7	52	0 2 3
33.0	47	3 0 1
41.3	41	3 1 3